This entry pairs a crystal structure of MnZnBiO5 with its computed PXRD pattern. Radiation: Cu Kα (λ = 1.5418 Å). Structure: a cell relaxed with PBE+U.

Main lines, in order of falling intensity (2θ from 5° to 70°):
2theta, intensity, hkl
29.7, 100, 1 2 1
25.1, 74, 1 1 -2
33.3, 43, 1 3 -2
34.4, 37, 2 1 -1
18.0, 37, 1 0 0
19.4, 29, 0 2 1
30.6, 29, 0 4 0
14.3, 27, 0 1 1
23.1, 25, 1 2 -1
15.1, 24, 0 2 0

Crystal structure
abc: 5.3620 11.7000 7.9503
angles: 90.00 113.14 90.00
Space group P2_1/c (No. 14)
Inequivalent atoms, fractional coordinates:
Mn (0.1847, 0.1469, 0.4693) x4
Zn (0.4466, 0.5813, 0.3248) x4
Bi (0.0632, 0.6013, 0.6777) x4
O (0.1565, 0.6801, 0.1410) x4
O (0.2421, 0.0744, 0.6694) x4
O (0.2427, 0.5240, 0.4876) x4
O (0.2957, 0.0698, 0.3281) x4
O (0.3099, 0.2137, 0.0083) x4